Entry 1:
Structure and simulated powder diffraction line list of YHo3O6 (a cell relaxed with GGA-PBE; CuKα).
Neutral-atom scattering factors, no anomalous dispersion.

Peak list (10 most intense, 2θ from 10° to 90°, by angle)
23.58°, d = 3.773 Å, intensity 36; 26.59°, d = 3.352 Å, intensity 21; 29.48°, d = 3.030 Å, intensity 100; 30.12°, d = 2.967 Å, intensity 45; 32.57°, d = 2.749 Å, intensity 58; 42.29°, d = 2.137 Å, intensity 18; 43.00°, d = 2.103 Å, intensity 23; 48.35°, d = 1.882 Å, intensity 16; 50.25°, d = 1.816 Å, intensity 28; 52.09°, d = 1.756 Å, intensity 22

Cell and atoms:
```
data_YHo3O6
_chemical_formula_sum 'Y2 Ho6 O12'
_cell_length_a 6.7085
_cell_length_b 6.7085
_cell_length_c 6.7085
_cell_angle_alpha 91.47
_cell_angle_beta 91.47
_cell_angle_gamma 91.47
_symmetry_space_group_name_H-M 'P 1'
_symmetry_Int_Tables_number 1
_symmetry_space_group_name_Hall 'P 1'
loop_
_atom_site_label
_atom_site_fract_x
_atom_site_fract_y
_atom_site_fract_z
_atom_site_occupancy
Y1 0.0000 0.0000 0.0000 1
Y2 0.5000 0.5000 0.5000 1
Ho1 0.0555 0.7513 0.5634 1
Ho2 0.2487 0.4366 0.9445 1
Ho3 0.4366 0.9445 0.2487 1
Ho4 0.5635 0.0555 0.7513 1
Ho5 0.7513 0.5635 0.0555 1
Ho6 0.9445 0.2487 0.4366 1
O1 0.0288 0.6808 0.8970 1
O2 0.1030 0.9712 0.3192 1
O3 0.1829 0.4281 0.5966 1
O4 0.3192 0.1030 0.9712 1
O5 0.4034 0.8171 0.5719 1
O6 0.4281 0.5966 0.1829 1
O7 0.5719 0.4034 0.8171 1
O8 0.5966 0.1829 0.4281 1
O9 0.6808 0.8970 0.0288 1
O10 0.8171 0.5719 0.4034 1
O11 0.8970 0.0288 0.6808 1
O12 0.9712 0.3192 0.1030 1
```

Entry 2:
Structure and simulated powder diffraction line list of Rb2NbZnS4 (a cell relaxed with GGA-PBE; CuKα).
Neutral-atom scattering factors, no anomalous dispersion.

Peak list (10 most intense, 2θ from 10° to 90°, by angle)
24.66°, d = 3.610 Å, intensity 31; 26.16°, d = 3.406 Å, intensity 100; 35.15°, d = 2.553 Å, intensity 24; 44.34°, d = 2.043 Å, intensity 43; 47.05°, d = 1.932 Å, intensity 26; 53.83°, d = 1.703 Å, intensity 11; 57.04°, d = 1.615 Å, intensity 14; 57.80°, d = 1.595 Å, intensity 10; 69.49°, d = 1.353 Å, intensity 11; 74.91°, d = 1.268 Å, intensity 9

Cell and atoms:
```
data_Rb2NbZnS4
_chemical_formula_sum 'Rb2 Nb1 Zn1 S4'
_cell_length_a 6.8541
_cell_length_b 6.8541
_cell_length_c 6.8541
_cell_angle_alpha 116.43
_cell_angle_beta 116.43
_cell_angle_gamma 96.31
_symmetry_space_group_name_H-M 'P 1'
_symmetry_Int_Tables_number 1
_symmetry_space_group_name_Hall 'P 1'
loop_
_atom_site_label
_atom_site_fract_x
_atom_site_fract_y
_atom_site_fract_z
_atom_site_occupancy
Rb1 0.0000 0.0000 0.0000 1
Rb2 0.7500 0.2500 0.5000 1
Nb1 0.5000 0.5000 0.0000 1
Zn1 0.2500 0.7500 0.5000 1
S1 0.2259 0.6033 0.0986 1
S2 0.3967 0.4952 0.6226 1
S3 0.5048 0.1274 0.9014 1
S4 0.8726 0.7741 0.3774 1
```